Structure and calculated powder X-ray diffraction pattern of Cs2AlBF6 (the GGA-PBE geometry in Alexandria; a wavelength of 1.5418 Å).

Peak list (8 most intense, 10° ≤ 2θ ≤ 90°, in order of rising 2θ)
- 17.96°, 4.938 Å, I = 27
- 21.41°, 4.150 Å, I = 42
- 28.09°, 3.177 Å, I = 100
- 30.46°, 2.934 Å, I = 37
- 35.59°, 2.523 Å, I = 78
- 36.38°, 2.469 Å, I = 23
- 43.62°, 2.075 Å, I = 33
- 52.69°, 1.737 Å, I = 33

Crystal structure
abc: 6.4505 6.4505 6.4505
angles: 125.88 125.88 80.08
Atoms (fractional coordinates):
Cs (0.2500, 0.7500, 0.5000)
Cs (0.7500, 0.2500, 0.5000)
Al (0.0000, 0.0000, 0.0000)
B (0.5000, 0.5000, 0.0000)
F (0.1834, 0.1834, 0.0000)
F (0.2269, 0.2269, 0.4538)
F (0.2269, 0.7731, 0.0000)
F (0.7731, 0.2269, 0.0000)
F (0.7731, 0.7731, 0.5462)
F (0.8166, 0.8166, 0.0000)